MgBe2Te: computed powder diffraction line list (CuKα), based on the GGA-PBE geometry in Alexandria.

Largest 8 diffraction maxima, sorted by position, 2θ from 10° to 90°:
(0 0 1), 2θ 17.92, I 92
(0 1 0), 2θ 24.47, I 43
(1 0 0), 2θ 25.35, I 49
(1 0 -1), 2θ 25.80, I 49
(0 1 1), 2θ 30.49, I 95
(1 1 0), 2θ 35.52, I 68
(1 0 1), 2θ 35.87, I 100
(1 0 -2), 2θ 36.88, I 34

```
data_MgBe2Te
_space_group_name_H-M_alt 'P 1 m 1'
_space_group_IT_number 6
_space_group_name_Hall 'P -2y'
_cell_length_a 3.722
_cell_length_b 3.638
_cell_length_c 5.244
_cell_angle_alpha 90.00
_cell_angle_beta 109.28
_cell_angle_gamma 90.00
loop_
_atom_site_label
_atom_site_type_symbol
_atom_site_fract_x
_atom_site_fract_y
_atom_site_fract_z
_atom_site_occupancy
Mg1 Mg 0.000 0.000 0.000 1
Be1 Be 0.567 0.500 0.139 1
Be2 Be 0.699 0.000 0.415 1
Te1 Te 0.319 0.500 0.608 1
```